1.
Calculated powder XRD pattern of InHg for Cu Kα, 1.54184 Å, from the GGA-PBE geometry in Alexandria.
Neutral-atom scattering factors, no anomalous dispersion.

Structure:
Lattice parameters (Å, degrees): 6.2669 6.3935 5.9117 90.00 115.74 90.00
Positions (direct):
In 0.0000 0.1319 0.2500
In 0.0000 0.8681 0.7500
In 0.5000 0.3681 0.7500
In 0.5000 0.6319 0.2500
Hg 0.0000 0.3701 0.7500
Hg 0.0000 0.6299 0.2500
Hg 0.5000 0.1299 0.2500
Hg 0.5000 0.8701 0.7500

Principal peaks in the range 10 to 90 degrees two-theta, low angle first:
two_theta, I/Imax
31.70, 54
32.67, 100
33.66, 46
34.86, 42
40.42, 56
51.40, 29

2.
Calculated powder XRD pattern of In8Hg3 for Cu Kα, 1.54184 Å, from the GGA-PBE geometry in Alexandria.
Neutral-atom scattering factors, no anomalous dispersion.

Structure:
Lattice parameters (Å, degrees): 7.3328 7.3328 7.3328 107.62 107.62 107.62
Positions (direct):
In 0.0033 0.3202 0.8206
In 0.1794 0.9967 0.6798
In 0.2348 0.2348 0.2348
In 0.3202 0.8206 0.0033
In 0.6798 0.1794 0.9967
In 0.7652 0.7652 0.7652
In 0.8206 0.0033 0.3202
In 0.9967 0.6798 0.1794
Hg 0.0000 0.5000 0.5000
Hg 0.5000 0.0000 0.5000
Hg 0.5000 0.5000 0.0000

Principal peaks in the range 10 to 90 degrees two-theta, low angle first:
two_theta, I/Imax
25.56, 36
30.20, 61
32.21, 100
36.84, 75
37.06, 35
41.90, 29

3.
Calculated powder XRD pattern of InHgIr2 for Cu Kα, 1.54184 Å, from the GGA-PBE geometry in Alexandria.
Neutral-atom scattering factors, no anomalous dispersion.

Structure:
Lattice parameters (Å, degrees): 2.9038 4.6941 10.8983 90.00 90.00 90.00
Positions (direct):
In 0.0000 0.0000 0.0000
In 0.5000 0.5000 0.5000
Hg 0.0000 0.5000 0.1974
Hg 0.5000 0.0000 0.6974
Ir 0.0000 0.0000 0.4365
Ir 0.0000 0.5000 0.7368
Ir 0.5000 0.0000 0.2368
Ir 0.5000 0.5000 0.9365

Principal peaks in the range 10 to 90 degrees two-theta, low angle first:
two_theta, I/Imax
32.87, 31
38.35, 31
40.09, 100
45.90, 11
51.38, 18
70.52, 19